This entry pairs a crystal structure of Ho2Th2Co3 with its theoretical PXRD pattern. Radiation: Cu Kα. Structure: a cell relaxed with GGA-PBE.

Crystal structure
Cell: 3.724 6.707 6.941 Å, 78.93 74.57 73.95°
Element x y z (fractional)
Ho: 0.061 0.247 0.131
Ho: 0.939 0.753 0.869
Th: 0.317 0.262 0.605
Th: 0.683 0.738 0.395
Co: 0.000 0.000 0.500
Co: 0.382 0.545 0.190
Co: 0.618 0.455 0.810

Principal peaks in the range 2θ from 5° to 70°, in order of rising 2θ:
- 26.0 deg, 3.422 Å, rel. 30, (1 0 1)
- 27.9 deg, 3.196 Å, rel. 41, (0 2 0)
- 28.7 deg, 3.112 Å, rel. 37, (0 1 2)
- 32.0 deg, 2.799 Å, rel. 100, (0 1 -2)
- 32.1 deg, 2.789 Å, rel. 37, (1 2 1)
- 32.8 deg, 2.733 Å, rel. 40, (1 0 2)
- 36.5 deg, 2.464 Å, rel. 56, (-1 1 1)
- 41.6 deg, 2.169 Å, rel. 33, (1 1 3)
- 44.2 deg, 2.049 Å, rel. 28, (1 -2 1)
- 47.7 deg, 1.907 Å, rel. 25, (0 3 2)